Entry 1:
Theoretical X-ray powder pattern
Compound: Ho7ErMg4
Radiation: Cu Kα (λ = 1.5418 Å)
Structure: a structure optimized by DFT (PBE)

Main lines, by angle (10 to 90 degrees two-theta):
two_theta	intensity
17.00	42
24.06	51
29.91	59
30.53	64
31.31	100
31.58	61
32.26	74
34.62	71
43.85	42
45.07	46

Cell and atoms:
```
data_Ho7ErMg4
_chemical_formula_sum 'Ho7 Er1 Mg4'
_space_group_name_H-M_alt 'P 1'
_space_group_IT_number 1
_space_group_name_Hall 'P 1'
_cell_length_a 8.018
_cell_length_b 8.018
_cell_length_c 9.613
_cell_angle_alpha 119.37
_cell_angle_beta 119.37
_cell_angle_gamma 41.75
loop_
_atom_site_label
_atom_site_type_symbol
_atom_site_fract_x
_atom_site_fract_y
_atom_site_fract_z
_atom_site_occupancy
Ho1 Ho 0.000 0.000 0.000 1
Ho2 Ho 0.250 0.250 0.712 1
Ho3 Ho 0.297 0.297 0.122 1
Ho4 Ho 0.421 0.421 0.576 1
Ho5 Ho 0.579 0.579 0.424 1
Ho6 Ho 0.703 0.703 0.878 1
Ho7 Ho 0.750 0.750 0.288 1
Er1 Er 0.500 0.500 0.000 1
Mg1 Mg 0.042 0.042 0.698 1
Mg2 Mg 0.175 0.175 0.346 1
Mg3 Mg 0.825 0.825 0.654 1
Mg4 Mg 0.958 0.958 0.302 1
```

=====

Entry 2:
Theoretical X-ray powder pattern
Compound: Pm6As5
Radiation: Cu Kα (λ = 1.5418 Å)
Structure: a structure optimized by DFT (PBE)

Main lines, by angle (10 to 90 degrees two-theta):
two_theta	intensity
25.89	29
29.98	100
42.91	74
50.80	13
53.19	13
53.27	13
62.30	12
70.64	22
70.73	11
78.66	18

Cell and atoms:
```
data_Pm6As5
_chemical_formula_sum 'Pm6 As5'
_space_group_name_H-M_alt 'P 1'
_space_group_IT_number 1
_space_group_name_Hall 'P 1'
_cell_length_a 7.294
_cell_length_b 7.294
_cell_length_c 7.310
_cell_angle_alpha 99.60
_cell_angle_beta 99.60
_cell_angle_gamma 119.94
loop_
_atom_site_label
_atom_site_type_symbol
_atom_site_fract_x
_atom_site_fract_y
_atom_site_fract_z
_atom_site_occupancy
Pm1 Pm 0.073 0.415 0.747 1
Pm2 Pm 0.243 0.243 0.257 1
Pm3 Pm 0.415 0.073 0.747 1
Pm4 Pm 0.585 0.927 0.253 1
Pm5 Pm 0.757 0.757 0.743 1
Pm6 Pm 0.927 0.585 0.253 1
As1 As 0.000 0.000 0.500 1
As2 As 0.166 0.834 0.000 1
As3 As 0.334 0.666 0.500 1
As4 As 0.666 0.334 0.500 1
As5 As 0.834 0.166 0.000 1
```

=====

Entry 3:
Theoretical X-ray powder pattern
Compound: CeDy2CoN4
Radiation: Cu Kα (λ = 1.5418 Å)
Structure: a structure optimized by DFT (PBE)

Main lines, by angle (10 to 90 degrees two-theta):
two_theta	intensity
28.11	52
31.07	18
31.73	100
36.61	21
39.12	49
48.55	20
51.18	17
54.02	15
54.41	24
62.35	12

Cell and atoms:
```
data_CeDy2CoN4
_chemical_formula_sum 'Ce2 Dy4 Co2 N8'
_space_group_name_H-M_alt 'P 1'
_space_group_IT_number 1
_space_group_name_Hall 'P 1'
_cell_length_a 5.896
_cell_length_b 5.896
_cell_length_c 11.513
_cell_angle_alpha 90.00
_cell_angle_beta 90.00
_cell_angle_gamma 146.76
loop_
_atom_site_label
_atom_site_type_symbol
_atom_site_fract_x
_atom_site_fract_y
_atom_site_fract_z
_atom_site_occupancy
Ce1 Ce 0.108 0.892 0.750 1
Ce2 Ce 0.892 0.108 0.250 1
Dy1 Dy 0.369 0.631 0.550 1
Dy2 Dy 0.369 0.631 0.950 1
Dy3 Dy 0.631 0.369 0.050 1
Dy4 Dy 0.631 0.369 0.450 1
Co1 Co 0.156 0.844 0.250 1
Co2 Co 0.844 0.156 0.750 1
N1 N 0.000 0.000 0.000 1
N2 N 0.000 0.000 0.500 1
N3 N 0.274 0.726 0.132 1
N4 N 0.274 0.726 0.368 1
N5 N 0.438 0.562 0.750 1
N6 N 0.562 0.438 0.250 1
N7 N 0.726 0.274 0.632 1
N8 N 0.726 0.274 0.868 1
```

=====

Entry 4:
Theoretical X-ray powder pattern
Compound: Tb4Sm2Tm7
Radiation: Cu Kα (λ = 1.5418 Å)
Structure: a structure optimized by DFT (PBE)

Main lines, by angle (10 to 90 degrees two-theta):
two_theta	intensity
31.03	100
35.96	34
36.03	17
51.76	18
51.85	18
61.53	11
61.64	25
61.73	7
84.71	9
87.45	7

Cell and atoms:
```
data_Tb4Sm2Tm7
_chemical_formula_sum 'Tb4 Sm2 Tm7'
_space_group_name_H-M_alt 'P 1'
_space_group_IT_number 1
_space_group_name_Hall 'P 1'
_cell_length_a 6.106
_cell_length_b 7.890
_cell_length_c 9.344
_cell_angle_alpha 65.12
_cell_angle_beta 83.78
_cell_angle_gamma 82.52
loop_
_atom_site_label
_atom_site_type_symbol
_atom_site_fract_x
_atom_site_fract_y
_atom_site_fract_z
_atom_site_occupancy
Tb1 Tb 0.037 0.421 0.347 1
Tb2 Tb 0.193 0.115 0.730 1
Tb3 Tb 0.807 0.885 0.270 1
Tb4 Tb 0.963 0.579 0.653 1
Sm1 Sm 0.345 0.807 0.116 1
Sm2 Sm 0.655 0.193 0.884 1
Tm1 Tm 0.116 0.271 0.039 1
Tm2 Tm 0.269 0.962 0.424 1
Tm3 Tm 0.424 0.654 0.808 1
Tm4 Tm 0.500 0.500 0.500 1
Tm5 Tm 0.576 0.346 0.192 1
Tm6 Tm 0.731 0.038 0.576 1
Tm7 Tm 0.884 0.729 0.961 1
```

=====

Entry 5:
Theoretical X-ray powder pattern
Compound: Ba3Hg3Pt2
Radiation: Cu Kα (λ = 1.5418 Å)
Structure: a structure optimized by DFT (PBE)

Main lines, by angle (10 to 90 degrees two-theta):
two_theta	intensity
14.82	46
28.81	100
29.75	61
32.53	41
33.34	93
35.93	59
36.09	44
39.34	58
40.98	37
57.60	34

Cell and atoms:
```
data_Ba3Hg3Pt2
_chemical_formula_sum 'Ba6 Hg6 Pt4'
_space_group_name_H-M_alt 'P 1'
_space_group_IT_number 1
_space_group_name_Hall 'P 1'
_cell_length_a 6.401
_cell_length_b 6.401
_cell_length_c 17.983
_cell_angle_alpha 90.00
_cell_angle_beta 90.00
_cell_angle_gamma 138.07
loop_
_atom_site_label
_atom_site_type_symbol
_atom_site_fract_x
_atom_site_fract_y
_atom_site_fract_z
_atom_site_occupancy
Ba1 Ba 0.072 0.928 0.602 1
Ba2 Ba 0.072 0.928 0.898 1
Ba3 Ba 0.347 0.653 0.750 1
Ba4 Ba 0.653 0.347 0.250 1
Ba5 Ba 0.928 0.072 0.102 1
Ba6 Ba 0.928 0.072 0.398 1
Hg1 Hg 0.355 0.645 0.538 1
Hg2 Hg 0.355 0.645 0.962 1
Hg3 Hg 0.365 0.635 0.250 1
Hg4 Hg 0.635 0.365 0.750 1
Hg5 Hg 0.645 0.355 0.038 1
Hg6 Hg 0.645 0.355 0.462 1
Pt1 Pt 0.227 0.773 0.118 1
Pt2 Pt 0.227 0.773 0.382 1
Pt3 Pt 0.773 0.227 0.618 1
Pt4 Pt 0.773 0.227 0.882 1
```

=====

Entry 6:
Theoretical X-ray powder pattern
Compound: Tb5Sb2H
Radiation: Cu Kα (λ = 1.5418 Å)
Structure: a structure optimized by DFT (PBE)

Main lines, by angle (10 to 90 degrees two-theta):
two_theta	intensity
16.31	13
32.95	100
36.63	38
41.29	14
52.77	13
56.36	22
63.63	30
69.12	12
70.01	11
87.18	6

Cell and atoms:
```
data_Tb5Sb2H
_chemical_formula_sum 'Tb10 Sb4 H2'
_space_group_name_H-M_alt 'P 1'
_space_group_IT_number 1
_space_group_name_Hall 'P 1'
_cell_length_a 6.939
_cell_length_b 6.939
_cell_length_c 8.746
_cell_angle_alpha 90.00
_cell_angle_beta 90.00
_cell_angle_gamma 90.00
loop_
_atom_site_label
_atom_site_type_symbol
_atom_site_fract_x
_atom_site_fract_y
_atom_site_fract_z
_atom_site_occupancy
Tb1 Tb 0.000 0.000 0.000 1
Tb2 Tb 0.249 0.249 0.245 1
Tb3 Tb 0.249 0.751 0.245 1
Tb4 Tb 0.251 0.251 0.745 1
Tb5 Tb 0.251 0.749 0.745 1
Tb6 Tb 0.500 0.500 0.500 1
Tb7 Tb 0.749 0.251 0.745 1
Tb8 Tb 0.749 0.749 0.745 1
Tb9 Tb 0.751 0.249 0.245 1
Tb10 Tb 0.751 0.751 0.245 1
Sb1 Sb 0.000 0.500 0.495 1
Sb2 Sb 0.000 0.500 0.995 1
Sb3 Sb 0.500 0.000 0.495 1
Sb4 Sb 0.500 0.000 0.995 1
H1 H 0.000 0.000 0.260 1
H2 H 0.500 0.500 0.760 1
```